(1)
Starting from a cell relaxed with PBE, the X-ray diffraction stick pattern of CePuF was calculated for Cu Ka.
Neutral-atom scattering factors, no anomalous dispersion.

Principal peaks in the range 15 to 90 degrees two-theta, in order of rising 2θ:
2θ (°), d (Å), I_rel, hkl
16.5, 5.376, 89, 1 1 1
26.0, 3.429, 57, 1 3 1
28.3, 3.148, 100, 0 4 0
30.1, 2.972, 40, 2 0 2
32.7, 2.740, 98, 4 2 0
33.3, 2.687, 99, 2 2 2
40.0, 2.255, 40, 5 1 1
41.1, 2.198, 35, 1 1 3
41.8, 2.161, 28, 2 4 2
51.0, 1.792, 32, 3 3 3

a b c (Å): 12.1724 12.5933 6.8117
angles (deg): 90.00 90.00 90.00
Space group Fdd2 (No. 43)
Asymmetric unit:
Ce1 0.0300 0.1440 0.0000 x16
Pu1 0.0755 0.1080 0.3759 x16
F1 0.0276 0.3980 0.1581 x16

(2)
Starting from a cell relaxed with PBE, the X-ray diffraction stick pattern of Rb4Ce6F19 was calculated for Cu Ka.
Neutral-atom scattering factors, no anomalous dispersion.

Principal peaks in the range 15 to 90 degrees two-theta, in order of rising 2θ:
2θ (°), d (Å), I_rel, hkl
16.2, 5.483, 37, 2 0 0
19.8, 4.477, 33, 2 1 1
25.7, 3.468, 100, 3 0 1
30.5, 2.931, 71, 3 1 2
40.3, 2.238, 19, 4 2 2
42.0, 2.151, 60, 4 3 1
49.9, 1.828, 32, 6 0 0
51.4, 1.779, 22, 5 2 3
57.0, 1.617, 18, 6 1 3
74.4, 1.275, 18, 7 4 3

a b c (Å): 10.9659 10.9659 10.9659
angles (deg): 90.00 90.00 90.00
Space group I23 (No. 197)
Asymmetric unit:
Rb1 0.1386 0.1386 0.1386 x8
Ce1 0.0000 0.1672 0.5000 x12
F1 0.0000 0.0000 0.0000 x2
F2 0.0000 0.0000 0.3582 x12
F3 0.0163 0.2853 0.3175 x24

(3)
Starting from a cell relaxed with PBE, the X-ray diffraction stick pattern of Rb5Ce2F12 was calculated for Cu Ka.
Neutral-atom scattering factors, no anomalous dispersion.

Principal peaks in the range 15 to 90 degrees two-theta, in order of rising 2θ:
2θ (°), d (Å), I_rel, hkl
23.0, 3.871, 17, 3 1 0
25.5, 3.491, 100, 2 2 0
26.5, 3.362, 38, 2 2 -1
29.7, 3.011, 19, 3 1 -2
30.4, 2.936, 15, 3 1 1
32.6, 2.749, 24, 1 1 2
40.4, 2.232, 15, 6 0 -2
43.9, 2.064, 19, 0 4 0
44.3, 2.043, 27, 6 2 -1
44.8, 2.023, 15, 5 1 -3

a b c (Å): 14.1167 8.2561 6.9760
angles (deg): 90.00 111.36 90.00
Space group C2/m (No. 12)
Asymmetric unit:
Rb1 0.0000 0.0000 0.0000 x2
Rb2 0.1820 0.5000 0.0890 x4
Rb3 0.2430 0.0000 0.3588 x4
Ce1 0.0000 0.2490 0.5000 x4
F1 0.0682 0.0000 0.4246 x4
F2 0.0710 0.5000 0.6741 x4
F3 0.1189 0.2998 0.3533 x8
F4 0.1212 0.1937 0.8154 x8

(4)
Starting from a cell relaxed with PBE, the X-ray diffraction stick pattern of Rb2CeZnF8 was calculated for Cu Ka.
Neutral-atom scattering factors, no anomalous dispersion.

Principal peaks in the range 15 to 90 degrees two-theta, in order of rising 2θ:
2θ (°), d (Å), I_rel, hkl
24.5, 3.634, 100, 0 1 2
25.3, 3.526, 98, 1 1 0
26.1, 3.410, 71, 1 -1 0
26.5, 3.361, 71, 0 1 -2
27.9, 3.201, 35, 0 2 0
30.1, 2.968, 35, 1 0 2
39.6, 2.278, 33, 1 2 2
41.4, 2.182, 34, -1 2 2
43.9, 2.062, 29, 2 0 0
52.0, 1.759, 35, -2 1 2

a b c (Å): 4.1277 6.4298 8.3589
angles (deg): 85.05 88.32 87.76
Space group P-1 (No. 2)
Asymmetric unit:
Rb1 0.0253 0.0351 0.2354 x2
Ce1 0.5000 0.5000 0.5000 x1
Zn1 0.5000 0.5000 0.0000 x1
F1 0.0204 0.6818 0.5353 x2
F2 0.1786 0.7072 0.0307 x2
F3 0.4652 0.2167 0.6568 x2
F4 0.4818 0.3822 0.2477 x2

(5)
Starting from a cell relaxed with PBE, the X-ray diffraction stick pattern of Ce2RuF was calculated for Cu Ka.
Neutral-atom scattering factors, no anomalous dispersion.

Principal peaks in the range 15 to 90 degrees two-theta, in order of rising 2θ:
2θ (°), d (Å), I_rel, hkl
23.2, 3.833, 13, 0 0 6
26.4, 3.374, 17, 1 0 1
27.3, 3.270, 33, 0 1 2
32.7, 2.740, 100, 0 1 5
38.0, 2.366, 15, 1 0 7
46.1, 1.970, 39, 1 1 0
47.7, 1.907, 43, 1 0 10
57.6, 1.599, 19, 2 0 5
76.8, 1.242, 16, 1 2 5
86.5, 1.125, 13, 2 1 10

a b c (Å): 3.9391 3.9391 22.9954
angles (deg): 90.00 90.00 120.00
Space group R3m (No. 160, hexagonal axes)
Asymmetric unit:
Ce1 0.0000 0.0000 0.0000 x3
Ce2 0.0000 0.0000 0.1954 x3
Ru1 0.0000 0.0000 0.5883 x3
F1 0.0000 0.0000 0.3811 x3

(6)
Starting from a cell relaxed with PBE, the X-ray diffraction stick pattern of Ce2SbF11 was calculated for Cu Ka.
Neutral-atom scattering factors, no anomalous dispersion.

Principal peaks in the range 15 to 90 degrees two-theta, in order of rising 2θ:
2θ (°), d (Å), I_rel, hkl
16.1, 5.488, 32, 0 0 2
21.1, 4.203, 100, 1 1 2
21.6, 4.107, 54, 1 2 1
23.5, 3.781, 75, 0 2 2
24.3, 3.666, 76, 2 1 1
27.8, 3.211, 22, 1 3 0
43.4, 2.086, 32, 1 3 4
44.0, 2.058, 25, 1 4 3
44.8, 2.025, 44, 3 3 2
47.9, 1.899, 21, 1 5 2

a b c (Å): 8.3836 10.4301 10.9769
angles (deg): 90.00 90.00 90.00
Space group Ibam (No. 72)
Asymmetric unit:
Ce1 0.1472 0.1822 0.0000 x8
Sb1 0.0000 0.5000 0.2500 x4
F1 0.0000 0.0000 0.0000 x4
F2 0.0936 0.3261 0.1431 x16
F3 0.1264 0.2147 0.5000 x8
F4 0.2171 0.4282 0.3619 x16

(7)
Starting from a cell relaxed with PBE, the X-ray diffraction stick pattern of Ce2SbF was calculated for Cu Ka.
Neutral-atom scattering factors, no anomalous dispersion.

Principal peaks in the range 15 to 90 degrees two-theta, in order of rising 2θ:
2θ (°), d (Å), I_rel, hkl
27.0, 3.297, 31, 1 0 2
28.6, 3.121, 32, 2 0 -2
30.5, 2.930, 75, 1 1 2
31.4, 2.850, 100, 1 2 -1
31.9, 2.806, 51, 2 1 -2
34.0, 2.640, 39, 3 0 0
36.8, 2.441, 33, 0 1 3
39.2, 2.297, 46, 2 2 1
47.3, 1.923, 29, 1 1 -4
55.3, 1.660, 23, 0 3 3

a b c (Å): 8.0750 6.4063 8.0769
angles (deg): 90.00 101.23 90.00
Space group P2_1/c (No. 14)
Asymmetric unit:
Ce1 0.0472 0.1348 0.3353 x4
Ce2 0.3487 0.6674 0.5197 x4
Sb1 0.3287 0.1422 0.6670 x4
F1 0.2116 0.6558 0.7587 x4

(8)
Starting from a cell relaxed with PBE, the X-ray diffraction stick pattern of Ce4Sb2F was calculated for Cu Ka.
Neutral-atom scattering factors, no anomalous dispersion.

Principal peaks in the range 15 to 90 degrees two-theta, in order of rising 2θ:
2θ (°), d (Å), I_rel, hkl
28.7, 3.111, 86, 1 1 2
32.2, 2.780, 39, 0 0 6
32.8, 2.729, 21, 1 0 5
34.3, 2.613, 100, 1 1 4
37.9, 2.371, 68, 2 0 0
50.6, 1.804, 43, 2 0 6
54.7, 1.677, 23, 2 2 0
63.0, 1.476, 19, 3 1 2
64.9, 1.436, 20, 2 2 6
66.2, 1.411, 30, 3 1 4

a b c (Å): 4.7423 4.7423 16.6825
angles (deg): 90.00 90.00 90.00
Space group I4/mmm (No. 139)
Asymmetric unit:
Ce1 0.0000 0.0000 0.1692 x4
Ce2 0.0000 0.5000 0.0000 x4
Sb1 0.0000 0.0000 0.3611 x4
F1 0.0000 0.0000 0.0000 x2

(9)
Starting from a cell relaxed with PBE, the X-ray diffraction stick pattern of Ce3Se3F2 was calculated for Cu Ka.
Neutral-atom scattering factors, no anomalous dispersion.

Principal peaks in the range 15 to 90 degrees two-theta, in order of rising 2θ:
2θ (°), d (Å), I_rel, hkl
23.2, 3.841, 46, 0 2 3
28.0, 3.192, 31, 0 4 0
30.1, 2.973, 40, 1 1 3
30.8, 2.899, 100, 1 3 0
34.4, 2.610, 63, 1 1 4
36.2, 2.483, 86, 1 3 3
37.4, 2.404, 26, 0 0 6
45.8, 1.980, 35, 2 0 0
46.3, 1.961, 25, 0 2 7
46.7, 1.946, 31, 0 6 3

a b c (Å): 3.9598 12.7668 14.4270
angles (deg): 90.00 90.00 90.00
Space group Cmcm (No. 63)
Asymmetric unit:
Ce1 0.0000 0.1237 0.0525 x8
Ce2 0.0000 0.1462 0.7500 x4
Se1 0.0000 0.1779 0.2500 x4
Se2 0.0000 0.4484 0.1106 x8
F1 0.0000 0.2621 0.5679 x8

(10)
Starting from a cell relaxed with PBE, the X-ray diffraction stick pattern of SrCeF4 was calculated for Cu Ka.
Neutral-atom scattering factors, no anomalous dispersion.

Principal peaks in the range 15 to 90 degrees two-theta, in order of rising 2θ:
2θ (°), d (Å), I_rel, hkl
23.0, 3.872, 100, 2 0 0
27.4, 3.252, 85, 1 1 2
32.7, 2.738, 21, 2 2 0
43.2, 2.095, 79, 3 1 2
46.9, 1.936, 18, 4 0 0
51.0, 1.792, 22, 2 0 4
52.9, 1.732, 15, 4 2 0
55.2, 1.664, 26, 3 3 2
65.7, 1.422, 13, 5 1 2
75.3, 1.262, 13, 5 3 2

a b c (Å): 7.7437 7.7437 8.0858
angles (deg): 90.00 90.00 90.00
Space group I4_1md (No. 109)
Asymmetric unit:
Sr1 0.0000 0.0000 0.0000 x4
Ce1 0.0000 0.0000 0.5137 x4
F1 0.0000 0.3119 0.4959 x8
F2 0.0000 0.3143 0.0020 x8

(11)
Starting from a cell relaxed with PBE, the X-ray diffraction stick pattern of TbCe2F11 was calculated for Cu Ka.
Neutral-atom scattering factors, no anomalous dispersion.

Principal peaks in the range 15 to 90 degrees two-theta, in order of rising 2θ:
2θ (°), d (Å), I_rel, hkl
21.1, 4.209, 100, 1 1 2
21.7, 4.104, 40, 1 2 1
23.5, 3.782, 70, 0 2 2
24.3, 3.669, 57, 2 1 1
26.7, 3.337, 18, 2 0 2
27.8, 3.207, 23, 1 3 0
43.0, 2.104, 18, 2 2 4
43.3, 2.088, 30, 1 3 4
44.8, 2.025, 41, 3 3 2
48.0, 1.897, 20, 1 5 2

a b c (Å): 8.3916 10.4111 11.0061
angles (deg): 90.00 90.00 90.00
Space group Ibam (No. 72)
Asymmetric unit:
Tb1 0.0000 0.0000 0.2500 x4
Ce1 0.1484 0.3172 0.0000 x8
F1 0.0000 0.5000 0.0000 x4
F2 0.0939 0.1738 0.1416 x16
F3 0.1259 0.2871 0.5000 x8
F4 0.2159 0.0729 0.3632 x16

(12)
Starting from a cell relaxed with PBE, the X-ray diffraction stick pattern of Ce2TeF was calculated for Cu Ka.
Neutral-atom scattering factors, no anomalous dispersion.

Principal peaks in the range 15 to 90 degrees two-theta, in order of rising 2θ:
2θ (°), d (Å), I_rel, hkl
26.0, 3.425, 19, 1 0 1
27.1, 3.294, 15, 0 1 2
31.0, 2.887, 100, 1 0 4
33.6, 2.664, 35, 0 1 5
39.0, 2.308, 14, 0 0 9
43.5, 2.079, 24, 0 1 8
45.2, 2.005, 40, 1 1 0
55.8, 1.647, 18, 0 2 4
61.2, 1.514, 23, 1 1 9
74.6, 1.273, 15, 2 1 4

a b c (Å): 4.0101 4.0101 20.7680
angles (deg): 90.00 90.00 120.00
Space group R-3m (No. 166, hexagonal axes)
Asymmetric unit:
Ce1 0.0000 0.0000 0.2311 x6
Te1 0.0000 0.0000 0.0000 x3
F1 0.0000 0.0000 0.5000 x3